Record 1
Computed PXRD pattern
Compound: Ce3GaHg
Radiation: Cu Kα (λ = 1.5418 Å)
Structure: a structure optimized by DFT (PBE)
No peak broadening, texture or thermal motion is included.

Most intense lines, 2θ = 10–80°, in order of rising 2θ:
two_theta, d_spacing, intensity
29.04, 3.075, 40.9
32.54, 2.752, 100.0
34.14, 2.626, 73.0
34.98, 2.565, 65.8
35.21, 2.549, 70.6
37.89, 2.375, 56.4

Structural model:
```
data_Ce3GaHg
_chemical_formula_sum 'Ce24 Ga8 Hg8'
_space_group_name_H-M_alt 'C 1 2/c 1'
_space_group_IT_number 15
_space_group_name_Hall '-C 2yc'
_cell_length_a 10.8264
_cell_length_b 5.9437
_cell_length_c 15.8295
_cell_angle_alpha 90.00
_cell_angle_beta 95.39
_cell_angle_gamma 90.00
loop_
_atom_site_label
_atom_site_type_symbol
_atom_site_fract_x
_atom_site_fract_y
_atom_site_fract_z
Ce1 Ce 0.0306 0.1685 0.0656
Ce2 Ce 0.1808 0.3875 0.2996
Ce3 Ce 0.2154 0.2221 0.8971
Ga1 Ga 0.0000 0.0255 0.7500
Ga2 Ga 0.2500 0.2500 0.5000
Hg1 Hg 0.0675 0.3474 0.6307
```

***

Record 2
Computed PXRD pattern
Compound: CeHoGa6
Radiation: Cu Kα (λ = 1.5418 Å)
Structure: a structure optimized by DFT (PBE)
No peak broadening, texture or thermal motion is included.

Most intense lines, 2θ = 10–80°, in order of rising 2θ:
two_theta, d_spacing, intensity
25.34, 3.515, 21.6
32.82, 2.729, 25.2
38.36, 2.346, 100.0
39.22, 2.297, 22.4
58.59, 1.576, 16.4
72.79, 1.299, 16.9

Structural model:
```
data_CeHoGa6
_chemical_formula_sum 'Ce1 Ho1 Ga6'
_space_group_name_H-M_alt 'P -6 m 2'
_space_group_IT_number 187
_space_group_name_Hall 'P -6 2'
_cell_length_a 6.3022
_cell_length_b 6.3022
_cell_length_c 4.5946
_cell_angle_alpha 90.00
_cell_angle_beta 90.00
_cell_angle_gamma 120.00
loop_
_atom_site_label
_atom_site_type_symbol
_atom_site_fract_x
_atom_site_fract_y
_atom_site_fract_z
Ce1 Ce 0.0000 0.0000 0.0000
Ho1 Ho 0.3333 0.6667 0.5000
Ga1 Ga 0.3744 0.1872 0.5000
Ga2 Ga 0.5186 0.0371 0.0000
```